Record 1
For CsNb3O8, a structure optimized by DFT (PBE) gives the simulated PXRD pattern in this record (a wavelength of 1.5418 Å).
Peak positions follow from Bragg's law for the DFT cell and can differ from measured ones.

Structure:
```
CsNb3O8
1.0
5.960 0.000 0.000
-2.980 5.161 0.000
0.000 0.000 8.339
Cs Nb O
1 3 8
Cartesian
0.000 0.000 0.000
0.000 0.000 4.170
0.000 3.441 5.925
2.980 1.720 2.414
-0.029 1.623 5.344
-1.560 4.375 5.344
1.391 0.836 2.996
0.000 3.441 7.705
2.980 1.720 0.634
1.589 4.325 5.344
4.540 0.786 2.996
3.009 3.539 2.996
```

Main lines, in order of falling intensity (10° ≤ 2θ ≤ 80°):
2θ/deg, I/Imax
27.5, 100
20.2, 91
30.0, 75
51.7, 35
41.1, 34
17.2, 31
53.7, 19
47.9, 19

Record 2
For HoGa6Co6, a structure optimized by DFT (PBE) gives the simulated PXRD pattern in this record (a wavelength of 1.5418 Å).
Peak positions follow from Bragg's law for the DFT cell and can differ from measured ones.

Structure:
```
HoGa6Co6
1.0
-2.521 4.086 4.304
2.521 -4.086 4.304
2.521 4.086 -4.304
Ho Ga Co
1 6 6
Cartesian
0.000 0.000 0.000
2.521 0.000 1.586
0.000 2.785 0.000
0.000 0.000 2.960
0.000 0.000 5.647
0.000 5.386 0.000
0.000 4.086 2.718
1.261 2.043 -2.152
1.261 -2.043 2.152
2.521 1.961 0.000
-1.261 2.043 2.152
1.261 2.043 2.152
0.000 2.125 4.304
```

Main lines, in order of falling intensity (10° ≤ 2θ ≤ 80°):
2θ/deg, I/Imax
42.5, 100
36.0, 68
41.5, 57
42.1, 54
43.2, 52
47.3, 49
44.3, 45
35.6, 37

Record 3
For Sr3Li2NbO6, a structure optimized by DFT (PBE) gives the simulated PXRD pattern in this record (a wavelength of 1.5418 Å).
Peak positions follow from Bragg's law for the DFT cell and can differ from measured ones.

Structure:
```
Sr3Li2NbO6
1.0
5.783 0.000 0.000
-2.892 5.008 0.000
0.000 0.000 6.553
Sr Li Nb O
3 2 1 6
Cartesian
0.000 0.000 0.000
0.000 3.339 4.079
2.892 1.669 2.474
0.000 3.339 1.291
2.892 1.669 5.262
0.000 0.000 3.277
0.000 1.631 2.075
-1.479 4.193 2.075
1.413 0.816 4.478
1.479 4.193 2.075
4.370 0.816 4.478
2.892 3.377 4.478
```

Main lines, in order of falling intensity (10° ≤ 2θ ≤ 80°):
2θ/deg, I/Imax
30.9, 100
32.7, 74
13.5, 67
45.6, 55
17.7, 44
38.5, 35
56.1, 32
41.7, 32